No. 1
For Ac16Co5Pt3, DFT lattice parameters and positions (PBE) gives the theoretical X-ray powder pattern in this record (Cu Ka).
No peak broadening, texture or thermal motion is included.

Structural model:
abc: 14.9279 8.5347 13.7883
angles: 90.00 90.26 90.00
Space group Cm (No. 8)
One atom of each set of equivalent atoms:
Ac 0.0000 0.0000 0.0000 [2 per cell]
Ac 0.0018 0.0000 0.5043 [2 per cell]
Ac 0.0215 0.5000 0.9843 [2 per cell]
Ac 0.0863 0.2545 0.7366 [4 per cell]
Ac 0.1774 0.0000 0.2470 [2 per cell]
Ac 0.1865 0.5000 0.2329 [2 per cell]
Ac 0.2553 0.2722 0.9840 [4 per cell]
Ac 0.2717 0.2359 0.4892 [4 per cell]
Ac 0.3441 0.5000 0.7326 [2 per cell]
Ac 0.3506 0.0000 0.7283 [2 per cell]
Ac 0.4206 0.2561 0.2366 [4 per cell]
Ac 0.4967 0.0000 0.4883 [2 per cell]
Co 0.1726 0.5000 0.8530 [2 per cell]
Co 0.3411 0.5000 0.1111 [2 per cell]
Co 0.3424 0.0000 0.3540 [2 per cell]
Co 0.4266 0.2486 0.6140 [4 per cell]
Pt 0.0934 0.2482 0.1183 [4 per cell]
Pt 0.1758 0.0000 0.6176 [2 per cell]

The 6 most intense peaks (2θ = 10–80°), by angle:
| index | two_theta | I/Imax |
| --- | --- | --- |
| 0 0 4 | 25.85 | 42 |
| 2 2 -2 | 27.28 | 100 |
| 2 2 2 | 27.36 | 86 |
| 2 2 -3 | 30.96 | 49 |
| 4 0 5 | 40.78 | 45 |
| 6 2 0 | 42.04 | 62 |

No. 2
For Sc3B7W, DFT lattice parameters and positions (PBE) gives the theoretical X-ray powder pattern in this record (Cu Ka).
No peak broadening, texture or thermal motion is included.

Structural model:
abc: 3.3173 15.1328 9.1877
angles: 90.00 90.00 90.00
Space group Cmcm (No. 63)
One atom of each set of equivalent atoms:
Sc 0.0000 0.1078 0.0565 [8 per cell]
Sc 0.0000 0.2457 0.7500 [4 per cell]
B 0.0000 0.2713 0.0323 [8 per cell]
B 0.0000 0.3635 0.1466 [8 per cell]
B 0.0000 0.4439 0.7500 [4 per cell]
B 0.0000 0.4838 0.0896 [8 per cell]
W 0.0000 0.0509 0.7500 [4 per cell]

The 6 most intense peaks (2θ = 10–80°), by angle:
| index | two_theta | I/Imax |
| --- | --- | --- |
| 0 2 0 | 11.70 | 100 |
| 0 2 1 | 15.17 | 63 |
| 0 0 2 | 19.32 | 45 |
| 0 4 1 | 25.46 | 46 |
| 1 1 0 | 27.53 | 77 |
| 1 5 1 | 41.57 | 74 |

No. 3
For Cd14InSn, DFT lattice parameters and positions (PBE) gives the theoretical X-ray powder pattern in this record (Cu Ka).
No peak broadening, texture or thermal motion is included.

Structural model:
abc: 10.5161 6.9551 10.3558
angles: 90.00 90.00 90.00
Space group Amm2 (No. 38)
One atom of each set of equivalent atoms:
Cd 0.0000 0.0000 0.0000 [2 per cell]
Cd 0.0000 0.0000 0.4899 [2 per cell]
Cd 0.0000 0.2394 0.7455 [4 per cell]
Cd 0.2379 0.0000 0.1628 [4 per cell]
Cd 0.2404 0.2410 0.9104 [8 per cell]
Cd 0.2446 0.0000 0.6535 [4 per cell]
Cd 0.5000 0.2390 0.5523 [4 per cell]
In 0.5000 0.0000 0.8091 [2 per cell]
Sn 0.5000 0.0000 0.2945 [2 per cell]

The 6 most intense peaks (2θ = 10–80°), by angle:
| index | two_theta | I/Imax |
| --- | --- | --- |
| 1 2 2 | 32.15 | 64 |
| 4 0 0 | 34.10 | 61 |
| 2 2 2 | 35.47 | 100 |
| 2 0 4 | 38.77 | 66 |
| 3 2 2 | 40.48 | 37 |
| 4 4 0 | 64.20 | 31 |

No. 4
For PuSc4Te6, DFT lattice parameters and positions (PBE) gives the theoretical X-ray powder pattern in this record (Cu Ka).
No peak broadening, texture or thermal motion is included.

Structural model:
abc: 4.1755 13.6956 21.4245
angles: 90.00 90.00 90.00
Space group Cmcm (No. 63)
One atom of each set of equivalent atoms:
Pu 0.0000 0.1560 0.2500 [4 per cell]
Sc 0.0000 0.0898 0.6250 [8 per cell]
Sc 0.0000 0.3560 0.5361 [8 per cell]
Te 0.0000 0.0000 0.0000 [4 per cell]
Te 0.0000 0.1717 0.7500 [4 per cell]
Te 0.0000 0.2677 0.0906 [8 per cell]
Te 0.0000 0.4518 0.6599 [8 per cell]

The 6 most intense peaks (2θ = 10–80°), by angle:
| index | two_theta | I/Imax |
| --- | --- | --- |
| 1 1 4 | 27.86 | 40 |
| 0 2 6 | 28.18 | 71 |
| 1 3 2 | 30.18 | 100 |
| 1 3 3 | 31.63 | 34 |
| 2 0 0 | 43.34 | 29 |
| 2 2 6 | 52.51 | 27 |

No. 5
For CoSeBrN2, DFT lattice parameters and positions (PBE) gives the theoretical X-ray powder pattern in this record (Cu Ka).
No peak broadening, texture or thermal motion is included.

Structural model:
abc: 3.7239 3.7239 7.5057
angles: 90.00 90.00 90.00
Space group P4/mmm (No. 123)
One atom of each set of equivalent atoms:
Co 0.0000 0.0000 0.0000 [1 per cell]
Se 0.5000 0.5000 0.0000 [1 per cell]
Br 0.5000 0.5000 0.5000 [1 per cell]
N 0.0000 0.5000 0.5000 [2 per cell]

The 6 most intense peaks (2θ = 10–80°), by angle:
| index | two_theta | I/Imax |
| --- | --- | --- |
| 0 0 2 | 23.71 | 100 |
| 1 0 0 | 23.90 | 30 |
| 1 1 0 | 34.05 | 46 |
| 1 1 2 | 41.91 | 52 |
| 2 0 0 | 48.92 | 25 |
| 2 0 2 | 55.07 | 41 |

Question: What is the formula in the second record?
Answer: Sc3B7W